For SmZn3NiPt, a PBE-relaxed structure gives the simulated PXRD pattern in this record (Cu Kα X-rays).

Principal peaks in the range 2θ from 10° to 80°, low angle first:
(1 0 0), 19.43°, I 18
(0 0 1), 21.07°, I 14
(1 0 1), 28.81°, I 24
(1 1 0), 33.98°, I 39
(2 0 0), 39.44°, I 16
(1 1 1), 40.33°, I 100
(0 0 2), 42.90°, I 24
(2 0 1), 45.14°, I 16
(1 1 2), 55.82°, I 19
(3 0 1), 65.12°, I 24
(2 2 0), 71.53°, I 15
(1 1 3), 76.85°, I 15

Structural model:
Cell: 5.2759 5.2759 4.2163 Å, 90.00 90.00 120.00°
Space group P-6m2 (No. 187)
Asymmetric unit:
Sm 0.0000 0.0000 0.0000 (multiplicity 1)
Zn 0.5042 0.0084 0.5000 (multiplicity 3)
Ni 0.6667 0.3333 0.0000 (multiplicity 1)
Pt 0.3333 0.6667 0.0000 (multiplicity 1)

For Sr2Cu6P5, a PBE-relaxed structure gives the simulated PXRD pattern in this record (Cu Kα X-rays).

Principal peaks in the range 2θ from 10° to 80°, low angle first:
(1 1 2), 31.62°, I 17
(1 0 7), 33.46°, I 52
(1 1 4), 34.09°, I 99
(0 0 10), 36.35°, I 31
(1 1 6), 37.88°, I 88
(2 0 0), 44.06°, I 100
(1 1 10), 48.34°, I 40
(2 1 7), 56.43°, I 22
(2 0 10), 58.40°, I 29
(2 2 0), 64.07°, I 31
(3 1 4), 74.61°, I 18
(3 1 6), 76.91°, I 20

Structural model:
Cell: 4.1106 4.1106 24.7149 Å, 90.00 90.00 90.00°
Space group I4/mmm (No. 139)
Asymmetric unit:
Sr 0.0000 0.0000 0.1489 (multiplicity 4)
Cu 0.0000 0.5000 0.0522 (multiplicity 8)
Cu 0.0000 0.5000 0.2500 (multiplicity 4)
P 0.0000 0.0000 0.0000 (multiplicity 2)
P 0.0000 0.0000 0.3018 (multiplicity 4)
P 0.0000 0.0000 0.3960 (multiplicity 4)

For Cu3Ag, a PBE-relaxed structure gives the simulated PXRD pattern in this record (Cu Kα X-rays).

Principal peaks in the range 2θ from 10° to 80°, low angle first:
(2 0 0), 23.70°, I 4
(1 1 -1), 27.19°, I 4
(1 1 1), 32.02°, I 6
(1 1 -2), 33.64°, I 3
(2 0 -3), 36.17°, I 4
(1 1 2), 41.48°, I 100
(3 1 -2), 41.65°, I 99
(2 0 -4), 48.14°, I 30
(0 2 0), 48.50°, I 63
(2 0 4), 70.49°, I 9
(2 2 -4), 70.73°, I 18
(4 2 0), 71.00°, I 27

Structural model:
Cell: 8.3865 3.7541 7.5613 Å, 90.00 116.45 90.00°
Space group C2/m (No. 12)
Asymmetric unit:
Cu 0.0000 0.0000 0.0000 (multiplicity 2)
Cu 0.0000 0.0000 0.5000 (multiplicity 2)
Cu 0.0057 0.5000 0.2666 (multiplicity 4)
Cu 0.2481 0.0000 0.3858 (multiplicity 4)
Ag 0.2489 0.5000 0.1343 (multiplicity 4)

For PrYW2C3, a PBE-relaxed structure gives the simulated PXRD pattern in this record (Cu Kα X-rays).

Principal peaks in the range 2θ from 10° to 80°, low angle first:
(2 0 -1), 17.76°, I 31
(4 0 -1), 29.68°, I 22
(2 0 -2), 30.66°, I 55
(4 0 0), 32.39°, I 37
(0 0 2), 33.64°, I 28
(1 1 1), 34.16°, I 100
(3 1 -1), 35.32°, I 74
(4 0 -2), 35.96°, I 28
(3 1 0), 36.09°, I 19
(2 0 2), 43.33°, I 24
(3 1 -3), 54.52°, I 27
(7 1 -2), 61.07°, I 19

Structural model:
Cell: 12.1250 3.3749 5.8429 Å, 90.00 114.23 90.00°
Space group Cm (No. 8)
Asymmetric unit:
Pr 0.0000 0.0000 0.0000 (multiplicity 2)
Y 0.2170 0.0000 0.6308 (multiplicity 2)
W 0.2622 0.5000 0.1299 (multiplicity 2)
W 0.4474 0.0000 0.4833 (multiplicity 2)
C 0.1078 0.5000 0.7971 (multiplicity 2)
C 0.3524 0.0000 0.0793 (multiplicity 2)
C 0.3547 0.5000 0.5361 (multiplicity 2)

For Nb2Ge2O5, a PBE-relaxed structure gives the simulated PXRD pattern in this record (Cu Kα X-rays).

Principal peaks in the range 2θ from 10° to 80°, low angle first:
(1 0 0), 22.22°, I 5
(1 1 0), 31.62°, I 48
(1 0 2), 32.98°, I 100
(1 0 3), 43.09°, I 6
(2 0 0), 45.33°, I 36
(0 0 4), 49.28°, I 11
(2 1 2), 57.18°, I 41
(1 1 4), 59.74°, I 12
(2 2 0), 66.04°, I 11
(2 0 4), 69.18°, I 15
(3 1 0), 75.07°, I 8
(3 0 2), 75.82°, I 9

Structural model:
Cell: 4.0016 4.0016 7.3969 Å, 90.00 90.00 90.00°
Space group P4/mmm (No. 123)
Asymmetric unit:
Nb 0.0000 0.0000 0.2220 (multiplicity 2)
Ge 0.5000 0.5000 0.0000 (multiplicity 1)
Ge 0.5000 0.5000 0.5000 (multiplicity 1)
O 0.0000 0.0000 0.5000 (multiplicity 1)
O 0.0000 0.5000 0.2415 (multiplicity 4)

For TbHoAl4Pd2, a PBE-relaxed structure gives the simulated PXRD pattern in this record (Cu Kα X-rays).

Principal peaks in the range 2θ from 10° to 80°, low angle first:
(0 1 1), 22.41°, I 53
(2 0 0), 25.63°, I 53
(2 1 1), 34.30°, I 76
(1 1 3), 36.07°, I 100
(1 0 4), 37.62°, I 49
(0 2 0), 41.94°, I 29
(2 2 0), 49.80°, I 17
(3 1 3), 52.30°, I 27
(3 0 4), 53.46°, I 14
(1 2 4), 57.59°, I 28
(0 1 7), 67.99°, I 13
(1 3 3), 72.78°, I 13

Structural model:
Cell: 6.9511 4.3084 10.1868 Å, 90.00 90.00 90.00°
Space group Amm2 (No. 38)
Asymmetric unit:
Tb 0.0000 0.0000 0.0000 (multiplicity 2)
Ho 0.5000 0.0000 0.8558 (multiplicity 2)
Al 0.1975 0.0000 0.2863 (multiplicity 4)
Al 0.3037 0.0000 0.5701 (multiplicity 4)
Pd 0.0000 0.0000 0.7183 (multiplicity 2)
Pd 0.5000 0.0000 0.1369 (multiplicity 2)

For Ta4Re3I, a PBE-relaxed structure gives the simulated PXRD pattern in this record (Cu Kα X-rays).

Principal peaks in the range 2θ from 10° to 80°, low angle first:
(1 0 1), 16.97°, I 7
(1 1 2), 26.03°, I 100
(1 1 4), 35.75°, I 7
(2 0 4), 42.31°, I 51
(2 2 0), 44.81°, I 21
(1 1 6), 48.08°, I 18
(3 1 2), 52.55°, I 29
(0 0 8), 57.38°, I 5
(4 0 0), 65.23°, I 6
(3 1 6), 67.82°, I 10
(3 3 2), 71.49°, I 5
(2 2 8), 75.61°, I 7

Structural model:
Cell: 5.7208 5.7208 12.8458 Å, 90.00 90.00 90.00°
Space group I-42m (No. 121)
Asymmetric unit:
Ta 0.2181 0.2181 0.3618 (multiplicity 8)
Re 0.0000 0.0000 0.5000 (multiplicity 2)
Re 0.0000 0.5000 0.2500 (multiplicity 4)
I 0.0000 0.0000 0.0000 (multiplicity 2)